(1)
This entry pairs a crystal structure of NbIr5W4 with its computed powder diffraction line list. Radiation: copper Kα. Structure: DFT lattice parameters and positions (GGA-PBE).

Atomic structure:
Unit cell a=2.792 b=2.792 c=19.730 alpha=90.00 beta=90.00 gamma=90.00
Space group P4/mmm (No. 123)
Unique sites:
Nb: 0.000 0.000 0.000 [1 per cell]
Ir: 0.500 0.500 0.105 [2 per cell]
Ir: 0.500 0.500 0.302 [2 per cell]
Ir: 0.500 0.500 0.500 [1 per cell]
W: 0.000 0.000 0.201 [2 per cell]
W: 0.000 0.000 0.400 [2 per cell]

Largest 8 diffraction maxima, sorted by position, 15° ≤ 2θ ≤ 90°:
(hkl)  d_spacing  I/Imax
0 0 4  4.933  1
1 0 5  2.279  100
1 0 6  2.128  1
1 0 7  1.984  1
1 1 0  1.974  49
2 0 0  1.396  32
2 1 5  1.190  38
2 0 10  1.140  11

=====

(2)
This entry pairs a crystal structure of PuBeCl4 with its computed powder diffraction line list. Radiation: copper Kα. Structure: DFT lattice parameters and positions (GGA-PBE).

Atomic structure:
Unit cell a=6.416 b=6.416 c=9.029 alpha=90.00 beta=90.00 gamma=90.00
Space group I-4 (No. 82)
Unique sites:
Pu: 0.000 0.000 0.000 [2 per cell]
Be: 0.000 0.500 0.750 [2 per cell]
Cl: 0.167 0.711 0.630 [8 per cell]

Largest 10 diffraction maxima, sorted by position, 15° ≤ 2θ ≤ 90°:
(hkl)  d_spacing  I/Imax
1 0 1  5.230  100
0 0 2  4.529  47
1 1 2  3.201  51
1 2 1  2.735  54
1 0 3  2.725  25
2 0 2  2.615  20
2 1 3  2.078  33
3 1 0  2.028  22
2 3 1  1.745  17
3 2 3  1.532  18

=====

(3)
This entry pairs a crystal structure of Sb4C with its computed powder diffraction line list. Radiation: copper Kα. Structure: DFT lattice parameters and positions (GGA-PBE).

Atomic structure:
Unit cell a=6.229 b=6.229 c=7.340 alpha=90.00 beta=90.00 gamma=90.00
Space group I4/mmm (No. 139)
Unique sites:
Sb: 0.000 0.000 0.221 [4 per cell]
Sb: 0.000 0.500 0.250 [4 per cell]
C: 0.000 0.000 0.500 [2 per cell]

Largest 10 diffraction maxima, sorted by position, 15° ≤ 2θ ≤ 90°:
(hkl)  d_spacing  I/Imax
0 0 2  3.670  65
2 0 0  3.114  100
2 0 2  2.375  81
2 2 0  2.202  38
2 2 2  1.888  40
2 0 4  1.581  22
4 0 2  1.433  16
2 2 4  1.410  16
4 2 0  1.393  17
4 2 2  1.302  24

=====

(4)
This entry pairs a crystal structure of TiSbH with its computed powder diffraction line list. Radiation: copper Kα. Structure: DFT lattice parameters and positions (GGA-PBE).

Atomic structure:
Unit cell a=3.132 b=3.133 c=10.056 alpha=89.78 beta=89.57 gamma=79.59
Space group P-1 (No. 2)
Unique sites:
Ti: 0.247 0.249 0.112 [2 per cell]
Sb: 0.258 0.253 0.687 [2 per cell]
H: 0.250 0.750 0.000 [2 per cell]

Largest 10 diffraction maxima, sorted by position, 15° ≤ 2θ ≤ 90°:
(hkl)  d_spacing  I/Imax
0 0 2  5.028  78
0 0 3  3.352  42
1 0 1  2.948  74
0 1 2  2.633  92
1 0 -2  2.622  100
1 1 0  2.407  58
1 0 3  2.274  28
0 0 5  2.011  29
1 -1 0  2.005  34
0 2 0  1.541  28

=====

(5)
This entry pairs a crystal structure of LiDy3 with its computed powder diffraction line list. Radiation: copper Kα. Structure: DFT lattice parameters and positions (GGA-PBE).

Atomic structure:
Unit cell a=3.732 b=11.178 c=5.472 alpha=90.00 beta=90.00 gamma=90.00
Space group Imm2 (No. 44)
Unique sites:
Li: 0.000 0.000 0.000 [2 per cell]
Dy: 0.000 0.274 0.499 [4 per cell]
Dy: 0.000 0.500 0.000 [2 per cell]

Largest 10 diffraction maxima, sorted by position, 15° ≤ 2θ ≤ 90°:
(hkl)  d_spacing  I/Imax
0 2 0  5.589  13
1 1 0  3.540  19
0 3 1  3.081  36
0 4 0  2.795  23
0 0 2  2.736  28
1 2 1  2.700  100
0 4 2  1.955  16
1 6 1  1.595  20
1 2 3  1.572  32
3 2 1  1.185  15

=====

(6)
This entry pairs a crystal structure of Rb2AlPdF6 with its computed powder diffraction line list. Radiation: copper Kα. Structure: DFT lattice parameters and positions (GGA-PBE).

Atomic structure:
Unit cell a=6.0755 b=6.0755 c=31.7576 alpha=90.00 beta=90.00 gamma=120.00
Space group R-3m (No. 166, hexagonal axes)
Unique sites:
Rb: 0.0000 0.0000 0.1285 [6 per cell]
Rb: 0.0000 0.0000 0.2867 [6 per cell]
Al: 0.0000 0.0000 0.0000 [3 per cell]
Al: 0.0000 0.0000 0.5000 [3 per cell]
Pd: 0.0000 0.0000 0.4060 [6 per cell]
F: 0.0462 0.5231 0.1332 [18 per cell]
F: 0.0482 0.5241 0.7000 [18 per cell]

Largest 10 diffraction maxima, sorted by position, 15° ≤ 2θ ≤ 90°:
(hkl)  d_spacing  I/Imax
1 0 1  5.191  15
1 0 7  3.436  66
1 1 0  3.038  100
1 0 10  2.719  21
0 2 7  2.276  54
0 2 10  2.026  15
2 1 7  1.821  16
3 0 0  1.754  18
2 1 10  1.685  14
2 2 0  1.519  23

=====

(7)
This entry pairs a crystal structure of SrBeI4 with its computed powder diffraction line list. Radiation: copper Kα. Structure: DFT lattice parameters and positions (GGA-PBE).

Atomic structure:
Unit cell a=7.515 b=7.988 c=8.790 alpha=90.00 beta=91.33 gamma=90.00
Space group P2_1/m (No. 11)
Unique sites:
Sr: 0.204 0.250 0.443 [2 per cell]
Be: 0.300 0.750 0.689 [2 per cell]
I: 0.106 0.508 0.736 [4 per cell]
I: 0.380 0.750 0.421 [2 per cell]
I: 0.448 0.250 0.143 [2 per cell]

Largest 10 diffraction maxima, sorted by position, 15° ≤ 2θ ≤ 90°:
(hkl)  d_spacing  I/Imax
1 2 0  3.526  100
1 1 -2  3.455  34
2 0 1  3.425  68
1 2 -1  3.285  36
1 2 1  3.261  35
2 1 -1  3.193  33
0 2 2  2.955  52
1 0 -3  2.751  41
1 2 2  2.736  32
0 2 4  1.925  28